(1)
Structure and calculated powder diffraction line list of BeNiCl (a crystal structure in Alexandria, relaxed with PBE; Cu Kα, 1.54184 Å).
No peak broadening, texture or thermal motion is included.

Cell and atoms:
a b c (Å): 5.7170 5.7170 5.7170
angles (deg): 148.41 116.53 72.64
Element x y z (fractional)
Be (0.1180, 0.1180, 0.0000)
Be (0.8820, 0.8820, 0.0000)
Ni (0.1975, 0.5000, 0.6975)
Ni (0.8025, 0.5000, 0.3025)
Cl (0.3359, 0.3359, 0.0000)
Cl (0.6641, 0.6641, 0.0000)

Principal peaks in the range 2θ = 10–80°, most intense first:
2theta	I (rel.)
30.31	100
51.69	58
19.27	57
35.65	47
32.74	37
54.44	25
37.96	24
49.87	22
46.35	22
42.96	17

(2)
Structure and calculated powder diffraction line list of KTa2Te4 (a crystal structure in Alexandria, relaxed with PBE; Cu Kα, 1.54184 Å).
No peak broadening, texture or thermal motion is included.

Cell and atoms:
a b c (Å): 9.2864 9.2864 6.6455
angles (deg): 103.39 103.39 22.60
Element x y z (fractional)
K (0.0000, 0.0000, 0.0000)
Ta (0.2541, 0.2541, 0.3193)
Ta (0.7459, 0.7459, 0.6807)
Te (0.1313, 0.1313, 0.5067)
Te (0.3327, 0.3327, 0.9834)
Te (0.6673, 0.6673, 0.0166)
Te (0.8687, 0.8687, 0.4933)

Principal peaks in the range 2θ = 10–80°, most intense first:
2theta	I (rel.)
33.61	100
29.19	66
30.17	53
43.10	34
48.39	29
35.77	24
36.07	23
50.14	20
46.38	19
40.77	17

(3)
Structure and calculated powder diffraction line list of Sc3Zn3Cu (a crystal structure in Alexandria, relaxed with PBE; Cu Kα, 1.54184 Å).
No peak broadening, texture or thermal motion is included.

Cell and atoms:
a b c (Å): 9.4542 9.4542 9.4542
angles (deg): 160.05 153.56 33.35
Element x y z (fractional)
Sc (0.0000, 0.0000, 0.0000)
Sc (0.3903, 0.3903, 0.0000)
Sc (0.7028, 0.2028, 0.5000)
Zn (0.1316, 0.6316, 0.5000)
Zn (0.5550, 0.5550, 0.0000)
Zn (0.8394, 0.8394, 0.0000)
Cu (0.2658, 0.7658, 0.5000)

Principal peaks in the range 2θ = 10–80°, most intense first:
2theta	I (rel.)
35.79	100
40.63	90
41.77	49
37.00	46
27.67	35
45.95	34
72.36	34
71.58	30
39.85	28
57.01	24

(4)
Structure and calculated powder diffraction line list of BaLa3Ru (a crystal structure in Alexandria, relaxed with PBE; Cu Kα, 1.54184 Å).
No peak broadening, texture or thermal motion is included.

Cell and atoms:
a b c (Å): 4.1923 5.7031 8.2855
angles (deg): 90.00 90.00 90.00
Element x y z (fractional)
Ba (0.0000, 0.0000, 0.0000)
La (0.0000, 0.0000, 0.5000)
La (0.5000, 0.5000, 0.2705)
La (0.5000, 0.5000, 0.7295)
Ru (0.0000, 0.5000, 0.5000)

Principal peaks in the range 2θ = 10–80°, most intense first:
2theta	I (rel.)
30.33	100
44.20	71
26.39	68
26.59	64
31.37	47
10.68	29
51.41	21
54.32	20
43.16	19
51.77	18

(5)
Structure and calculated powder diffraction line list of Er8CuSe6 (a crystal structure in Alexandria, relaxed with PBE; Cu Kα, 1.54184 Å).
No peak broadening, texture or thermal motion is included.

Cell and atoms:
a b c (Å): 10.4136 10.4136 3.9699
angles (deg): 90.00 90.00 120.00
Element x y z (fractional)
Er (0.0323, 0.7302, 0.2513)
Er (0.2698, 0.3021, 0.2513)
Er (0.3021, 0.0323, 0.7487)
Er (0.3333, 0.6667, 0.7483)
Er (0.6667, 0.3333, 0.2517)
Er (0.6979, 0.9677, 0.2513)
Er (0.7302, 0.6979, 0.7487)
Er (0.9677, 0.2698, 0.7487)
Cu (0.0000, 0.0000, 0.5000)
Se (0.1297, 0.4809, 0.2493)
Se (0.3512, 0.8703, 0.2493)
Se (0.4809, 0.3512, 0.7507)
Se (0.5191, 0.6488, 0.2493)
Se (0.6488, 0.1297, 0.7507)
Se (0.8703, 0.5191, 0.7507)

Principal peaks in the range 2θ = 10–80°, most intense first:
2theta	I (rel.)
34.69	100
29.72	64
28.27	53
29.99	48
41.48	42
49.69	40
35.90	40
45.71	22
77.97	22
55.47	17

(6)
Structure and calculated powder diffraction line list of DyZnHg6 (a crystal structure in Alexandria, relaxed with PBE; Cu Kα, 1.54184 Å).
No peak broadening, texture or thermal motion is included.

Cell and atoms:
a b c (Å): 8.5328 8.5328 8.5328
angles (deg): 43.52 43.52 43.52
Element x y z (fractional)
Dy (0.0000, 0.0000, 0.0000)
Zn (0.5000, 0.5000, 0.5000)
Hg (0.0707, 0.0707, 0.5530)
Hg (0.0707, 0.5530, 0.0707)
Hg (0.4470, 0.9293, 0.9293)
Hg (0.5530, 0.0707, 0.0707)
Hg (0.9293, 0.4470, 0.9293)
Hg (0.9293, 0.9293, 0.4470)

Principal peaks in the range 2θ = 10–80°, most intense first:
2theta	I (rel.)
33.62	100
32.93	97
16.63	91
42.88	71
36.75	41
58.34	38
11.47	37
45.62	36
23.07	36
34.90	35

(7)
Structure and calculated powder diffraction line list of MnZnS2 (a crystal structure in Alexandria, relaxed with PBE; Cu Kα, 1.54184 Å).
No peak broadening, texture or thermal motion is included.

Cell and atoms:
a b c (Å): 3.9105 3.9105 6.4030
angles (deg): 90.00 90.00 120.00
Element x y z (fractional)
Mn (0.0000, 0.0000, 0.0000)
Zn (0.6667, 0.3333, 0.5026)
S (0.0000, 0.0000, 0.6230)
S (0.6667, 0.3333, 0.1343)

Principal peaks in the range 2θ = 10–80°, most intense first:
2theta	I (rel.)
26.32	100
29.85	99
50.55	77
46.44	76
27.87	60
55.03	48
38.70	37
71.06	26
56.19	15
54.16	12

(8)
Structure and calculated powder diffraction line list of Ho3WC3 (a crystal structure in Alexandria, relaxed with PBE; Cu Kα, 1.54184 Å).
No peak broadening, texture or thermal motion is included.

Cell and atoms:
a b c (Å): 6.8574 6.8574 5.1299
angles (deg): 90.00 90.00 100.02
Element x y z (fractional)
Ho (0.1101, 0.8899, 0.7500)
Ho (0.1669, 0.3993, 0.7500)
Ho (0.3993, 0.1669, 0.2500)
Ho (0.6007, 0.8331, 0.7500)
Ho (0.8331, 0.6007, 0.2500)
Ho (0.8899, 0.1101, 0.2500)
W (0.3102, 0.6898, 0.2500)
W (0.6898, 0.3102, 0.7500)
C (0.1231, 0.8769, 0.2500)
C (0.1717, 0.4100, 0.2500)
C (0.4100, 0.1717, 0.7500)
C (0.5900, 0.8283, 0.2500)
C (0.8283, 0.5900, 0.7500)
C (0.8769, 0.1231, 0.7500)

Principal peaks in the range 2θ = 10–80°, most intense first:
2theta	I (rel.)
31.73	100
34.98	31
32.58	21
65.65	16
34.13	16
60.71	16
40.96	14
54.93	12
49.68	11
53.62	10

(9)
Structure and calculated powder diffraction line list of SnBiAuN (a crystal structure in Alexandria, relaxed with PBE; Cu Kα, 1.54184 Å).
No peak broadening, texture or thermal motion is included.

Cell and atoms:
a b c (Å): 5.6758 5.6758 5.2299
angles (deg): 111.18 111.18 35.85
Element x y z (fractional)
Sn (0.0000, 0.0000, 0.0000)
Bi (0.6604, 0.6604, 0.5991)
Au (0.2820, 0.2820, 0.3101)
N (0.4632, 0.4632, 0.2199)

Principal peaks in the range 2θ = 10–80°, most intense first:
2theta	I (rel.)
30.84	100
30.20	51
37.30	50
34.52	29
49.44	27
33.55	27
17.75	20
36.80	14
61.65	14
52.37	13